No. 1
Calculated powder diffraction line list of CaCoO3 for a wavelength of 1.5418 Å, from a GGA+U-relaxed structure.
Intensities are scaled so that the largest is 100.

Largest 8 diffraction maxima, by intensity, 2θ = 15–90°:
Position (°2θ), d_spacing, Rel. int., h k l
33.66, 2.663, 100.0, 1 2 1
48.05, 1.894, 39.0, 2 0 2
33.10, 2.706, 25.8, 2 0 0
33.82, 2.650, 24.2, 0 0 2
60.40, 1.532, 23.8, 1 2 3
23.49, 3.787, 21.1, 1 0 1
48.63, 1.872, 21.0, 0 4 0
70.77, 1.331, 18.7, 2 4 2

Cell: 5.413 7.489 5.300 Å, 90.00 90.00 90.00°
Element x y z (fractional)
Ca 0.047 0.250 0.009
Ca 0.453 0.750 0.509
Ca 0.547 0.250 0.491
Ca 0.953 0.750 0.991
Co 0.000 0.000 0.500
Co 0.000 0.500 0.500
Co 0.500 0.000 0.000
Co 0.500 0.500 0.000
O 0.017 0.750 0.427
O 0.207 0.539 0.789
O 0.207 0.961 0.789
O 0.293 0.039 0.289
O 0.293 0.461 0.289
O 0.483 0.250 0.927
O 0.517 0.750 0.073
O 0.707 0.539 0.711
O 0.707 0.961 0.711
O 0.793 0.039 0.211
O 0.793 0.461 0.211
O 0.983 0.250 0.573


No. 2
Calculated powder diffraction line list of CaCo4O9 for a wavelength of 1.5418 Å, from a GGA+U-relaxed structure.
Intensities are scaled so that the largest is 100.

Largest 8 diffraction maxima, by intensity, 2θ = 15–90°:
Position (°2θ), d_spacing, Rel. int., h k l
29.65, 3.013, 100.0, 1 2 1
17.07, 5.195, 76.6, 0 0 1
34.29, 2.615, 51.8, 3 1 0
49.28, 1.849, 34.1, 2 4 0
42.53, 2.126, 26.1, 1 2 2
58.89, 1.568, 22.8, 1 2 3
22.90, 3.884, 21.5, 1 1 1
58.58, 1.576, 19.3, 4 3 1

Cell: 8.269 8.269 5.195 Å, 90.00 90.00 90.00°
Element x y z (fractional)
Ca 0.250 0.250 0.138
Ca 0.750 0.750 0.862
Co 0.036 0.838 0.392
Co 0.162 0.536 0.608
Co 0.338 0.964 0.608
Co 0.464 0.662 0.392
Co 0.536 0.338 0.608
Co 0.662 0.036 0.392
Co 0.838 0.464 0.392
Co 0.964 0.162 0.608
O 0.006 0.178 0.918
O 0.040 0.356 0.448
O 0.144 0.040 0.448
O 0.178 0.494 0.918
O 0.250 0.750 0.500
O 0.322 0.006 0.918
O 0.356 0.460 0.448
O 0.460 0.144 0.448
O 0.494 0.322 0.918
O 0.506 0.678 0.082
O 0.540 0.856 0.552
O 0.644 0.540 0.552
O 0.678 0.994 0.082
O 0.750 0.250 0.500
O 0.822 0.506 0.082
O 0.856 0.960 0.552
O 0.960 0.644 0.552
O 0.994 0.822 0.082


No. 3
Calculated powder diffraction line list of Ca3Co2O6 for a wavelength of 1.5418 Å, from a GGA+U-relaxed structure.
Intensities are scaled so that the largest is 100.

Largest 8 diffraction maxima, by intensity, 2θ = 15–90°:
Position (°2θ), d_spacing, Rel. int., h k l
34.01, 2.636, 100.0, 1 1 -2
19.44, 4.565, 66.4, 0 1 -1
45.84, 1.980, 26.0, 1 3 0
47.48, 1.915, 23.9, -1 3 1
40.98, 2.203, 22.6, 0 2 2
32.11, 2.787, 19.7, 1 2 0
42.07, 2.148, 19.3, 1 -2 2
31.98, 2.798, 18.8, 1 0 2

Cell: 6.327 6.340 6.367 Å, 91.99 92.02 92.10°
Element x y z (fractional)
Ca 0.000 0.000 0.000
Ca 0.131 0.869 0.500
Ca 0.363 0.363 0.271
Ca 0.496 0.230 0.772
Ca 0.630 0.732 0.638
Ca 0.864 0.498 0.136
Co 0.246 0.614 0.885
Co 0.503 0.860 0.139
Co 0.746 0.114 0.385
Co 0.994 0.373 0.636
O 0.032 0.196 0.338
O 0.166 0.330 0.934
O 0.205 0.701 0.171
O 0.290 0.530 0.599
O 0.329 0.899 0.838
O 0.462 0.036 0.435
O 0.534 0.571 0.967
O 0.662 0.159 0.101
O 0.704 0.402 0.468
O 0.791 0.827 0.304
O 0.833 0.071 0.670
O 0.959 0.661 0.805